Calculated PXRD pattern of Pm2Nd3Er8 for Cu Kα (weighted mean of Kα1 and Kα2), from a crystal structure in Alexandria, relaxed with GGA-PBE.

Cell and atoms:
```
data_Pm2Nd3Er8
_chemical_formula_sum 'Pm2 Nd3 Er8'
_space_group_name_H-M_alt 'P -1'
_space_group_IT_number 2
_space_group_name_Hall '-P 1'
_cell_length_a 5.995
_cell_length_b 6.475
_cell_length_c 10.978
_cell_angle_alpha 90.05
_cell_angle_beta 90.04
_cell_angle_gamma 95.02
loop_
_atom_site_label
_atom_site_type_symbol
_atom_site_fract_x
_atom_site_fract_y
_atom_site_fract_z
Pm1 Pm 0.248 0.324 0.000
Nd1 Nd 0.000 0.000 0.500
Nd2 Nd 0.373 0.734 0.500
Er1 Er 0.233 0.353 0.302
Er2 Er 0.236 0.352 0.699
Er3 Er 0.248 0.852 0.173
Er4 Er 0.249 0.851 0.827
```

Principal peaks in the range 2θ = 15–90°, in order of rising 2θ:
| d (Å) | I_rel | h k l |
| --- | --- | --- |
| 3.183 | 51 | 0 1 3 |
| 2.986 | 50 | 2 0 0 |
| 2.948 | 29 | 1 -2 0 |
| 2.860 | 62 | -1 1 3 |
| 2.847 | 21 | 1 -2 1 |
| 2.760 | 100 | 1 1 -3 |
| 2.740 | 67 | 1 2 0 |
| 2.597 | 33 | 1 -2 2 |
| 1.631 | 21 | 3 2 0 |
| 1.524 | 26 | 2 3 -3 |